# Np2CrO11
Calculated powder X-ray diffraction pattern, copper Kα. Input: a structure optimized by DFT (GGA+U).
Lines closer than 0.1° are merged.

Largest 12 diffraction maxima, most intense first, 5 to 70 degrees two-theta:
2θ/deg, I (rel.)
24.54, 100
17.26, 80
27.51, 38
52.00, 23
34.91, 22
45.12, 18
35.02, 18
45.03, 17
50.22, 14
43.17, 13
32.66, 12
56.60, 10

Lattice parameters (Å, degrees): 8.3815 8.3815 8.3815 120.13 104.62 104.22
Positions (direct):
Np 0.2288 0.1823 0.4111
Np 0.2712 0.6823 0.9535
Np 0.7288 0.3177 0.0465
Np 0.7712 0.8177 0.5889
Cr 0.2500 0.2500 0.0000
Cr 0.7500 0.7500 0.0000
O 0.0000 0.5000 0.5000
O 0.0316 0.6185 0.9083
O 0.0387 0.0312 0.7918
O 0.1568 0.4426 0.5994
O 0.2102 0.1185 0.5869
O 0.2394 0.2469 0.2082
O 0.2606 0.4688 0.0075
O 0.2898 0.8767 0.9083
O 0.3432 0.9426 0.2858
O 0.4613 0.2531 0.9925
O 0.4684 0.3767 0.5869
O 0.5000 0.0000 0.5000
O 0.5316 0.6233 0.4131
O 0.5387 0.7469 0.0075
O 0.6568 0.0574 0.7142
O 0.7102 0.1233 0.0917
O 0.7394 0.5312 0.9925
O 0.7606 0.7531 0.7918
O 0.7898 0.8815 0.4131
O 0.8432 0.5574 0.4006
O 0.9613 0.9688 0.2082
O 0.9684 0.3815 0.0917